Record 1
This entry pairs a crystal structure of CsAc6Se8 with its computed XRD peak list. Radiation: Cu Kα, 1.54184 Å. Structure: a cell relaxed with GGA-PBE.
Kinematic intensities with the Lorentz-polarization factor, no thermal factor.

Cell and atoms:
```
data_CsAc6Se8
_symmetry_space_group_name_H-M 'P -3'
_symmetry_Int_Tables_number 147
_cell_length_a 12.0670
_cell_length_b 12.0670
_cell_length_c 4.5818
_cell_angle_alpha 90.00
_cell_angle_beta 90.00
_cell_angle_gamma 120.00
loop_
_symmetry_equiv_pos_as_xyz
'x,y,z'
'-x,-y,-z'
'-y,x-y,z'
'y,-x+y,-z'
'-x+y,-x,z'
'x-y,x,-z'
loop_
_atom_site_label
_atom_site_fract_x
_atom_site_fract_y
_atom_site_fract_z
Cs1 0.0000 0.0000 0.0000
Ac1 0.1405 0.4768 0.2525
Se1 0.0434 0.6824 0.2465
Se2 0.3333 0.6667 0.7528
```

Peak list (6 most intense, 5° ≤ 2θ ≤ 70°, in order of rising 2θ)
(1 0 0), 8.46°, I 79; (0 1 1), 21.17°, I 63; (1 2 0), 22.51°, I 76; (2 1 1), 29.87°, I 100; (3 1 0), 30.85°, I 37; (4 -2 1), 35.63°, I 89


Record 2
This entry pairs a crystal structure of Cs4AcSm3Se8 with its computed XRD peak list. Radiation: Cu Kα, 1.54184 Å. Structure: a cell relaxed with GGA-PBE.
Kinematic intensities with the Lorentz-polarization factor, no thermal factor.

Cell and atoms:
```
data_Cs4AcSm3Se8
_symmetry_space_group_name_H-M 'R -3 m'
_symmetry_Int_Tables_number 166
_symmetry_space_group_name_Hall '-R 3 2"'
_cell_length_a 8.8520
_cell_length_b 8.8520
_cell_length_c 25.2386
_cell_angle_alpha 90.00
_cell_angle_beta 90.00
_cell_angle_gamma 120.00
loop_
_atom_site_label
_atom_site_fract_x
_atom_site_fract_y
_atom_site_fract_z
Cs1 0.0000 0.0000 0.0000
Cs2 0.0000 0.5000 0.0000
Ac1 0.0000 0.0000 0.5000
Sm1 0.0000 0.5000 0.5000
Se1 0.0000 0.0000 0.2291
Se2 0.0125 0.5063 0.7696
```

Peak list (6 most intense, 5° ≤ 2θ ≤ 70°, in order of rising 2θ)
(2 0 2), 24.27°, I 14; (0 2 4), 27.22°, I 100; (2 0 8), 36.90°, I 34; (2 2 0), 40.77°, I 36; (4 0 4), 49.72°, I 19; (2 4 4), 66.18°, I 16


What did the second record say?
This entry pairs a crystal structure of Cs4AcSm3Se8 with its computed XRD peak list. Radiation: Cu Kα, 1.54184 Å. Structure: a cell relaxed with GGA-PBE.
Kinematic intensities with the Lorentz-polarization factor, no thermal factor.

Cell and atoms:
```
data_Cs4AcSm3Se8
_symmetry_space_group_name_H-M 'R -3 m'
_symmetry_Int_Tables_number 166
_symmetry_space_group_name_Hall '-R 3 2"'
_cell_length_a 8.8520
_cell_length_b 8.8520
_cell_length_c 25.2386
_cell_angle_alpha 90.00
_cell_angle_beta 90.00
_cell_angle_gamma 120.00
loop_
_atom_site_label
_atom_site_fract_x
_atom_site_fract_y
_atom_site_fract_z
Cs1 0.0000 0.0000 0.0000
Cs2 0.0000 0.5000 0.0000
Ac1 0.0000 0.0000 0.5000
Sm1 0.0000 0.5000 0.5000
Se1 0.0000 0.0000 0.2291
Se2 0.0125 0.5063 0.7696
```

Peak list (6 most intense, 5° ≤ 2θ ≤ 70°, in order of rising 2θ)
(2 0 2), 24.27°, I 14; (0 2 4), 27.22°, I 100; (2 0 8), 36.90°, I 34; (2 2 0), 40.77°, I 36; (4 0 4), 49.72°, I 19; (2 4 4), 66.18°, I 16